Entry 1:
The following is a simulated X-ray powder pattern of Nd2Sm3Dy6. It was derived from a crystal structure in Alexandria, relaxed with PBE, using Cu Kα, 1.54184 Å.
Kinematic intensities with the Lorentz-polarization factor, no thermal factor.

Principal peaks in the range 5° ≤ 2θ ≤ 70°, sorted by position:
2theta	I/Imax
28.55	100.0
30.54	19.9
32.20	22.1
34.20	78.2
37.73	60.4
50.42	25.3
54.42	21.2
62.08	22.7
62.60	21.8
65.86	23.5

Atomic structure:
```
11
Lattice="-2.384 2.384 16.681 2.384 -2.384 16.681 2.384 2.384 -16.681" Properties=species:S:1:pos:R:3 pbc="T T T"
Nd 0.000 0.000 1.541
Nd 0.000 0.000 31.822
Sm 0.000 0.000 9.934
Sm 0.000 0.000 16.681
Sm 0.000 0.000 23.428
Dy 2.384 0.000 4.052
Dy 0.000 0.000 6.499
Dy 2.384 0.000 12.630
Dy 0.000 2.384 4.052
Dy 0.000 0.000 26.864
Dy 0.000 2.384 12.630
```

Entry 2:
The following is a simulated X-ray powder pattern of PuMgGa2Au2. It was derived from a crystal structure in Alexandria, relaxed with PBE, using Cu Kα, 1.54184 Å.
Kinematic intensities with the Lorentz-polarization factor, no thermal factor.

Principal peaks in the range 5° ≤ 2θ ≤ 70°, sorted by position:
2theta	I/Imax
26.26	80.4
34.68	100.0
39.05	11.6
40.10	78.3
48.57	16.0
54.04	28.6
57.21	23.3
64.75	14.0
68.42	18.5
69.38	27.3

Atomic structure:
```
6
Lattice="4.497 0.000 0.000 -2.249 3.895 0.000 0.000 0.000 6.920" Properties=species:S:1:pos:R:3 pbc="T T T"
Pu 0.000 0.000 0.000
Mg 0.000 0.000 3.460
Ga 0.000 2.596 1.807
Ga 2.249 1.298 5.113
Au 0.000 2.596 4.906
Au 2.249 1.298 2.013
```

Entry 3:
The following is a simulated X-ray powder pattern of LiPaZn. It was derived from a crystal structure in Alexandria, relaxed with PBE, using Cu Kα, 1.54184 Å.
Kinematic intensities with the Lorentz-polarization factor, no thermal factor.

Principal peaks in the range 5° ≤ 2θ ≤ 70°, sorted by position:
2theta	I/Imax
15.82	99.4
24.65	52.5
31.96	25.8
33.59	94.1
35.72	100.0
39.81	41.5
42.60	19.9
43.80	21.8
54.23	35.3
60.67	22.5

Atomic structure:
```
6
Lattice="0.000 4.951 5.601 2.067 0.000 5.601 2.067 4.951 0.000" Properties=species:S:1:pos:R:3 pbc="T T T"
Li 1.033 2.475 2.800
Li 3.100 7.426 8.401
Pa 2.067 1.417 5.601
Pa 2.067 8.484 5.601
Zn 2.067 4.951 3.645
Zn 2.067 4.951 7.556
```

Entry 4:
The following is a simulated X-ray powder pattern of BaInHg6. It was derived from a crystal structure in Alexandria, relaxed with PBE, using Cu Kα, 1.54184 Å.
Kinematic intensities with the Lorentz-polarization factor, no thermal factor.

Principal peaks in the range 5° ≤ 2θ ≤ 70°, sorted by position:
2theta	I/Imax
27.87	14.4
31.10	32.7
32.78	100.0
34.21	32.8
35.59	26.3
39.87	10.3
46.88	10.6
53.35	9.1
60.35	17.7
64.96	20.1

Atomic structure:
```
8
Lattice="5.242 0.000 0.000 0.000 3.852 5.756 0.000 -3.852 5.756" Properties=species:S:1:pos:R:3 pbc="T T T"
Ba 0.000 0.000 0.000
In 2.621 0.000 8.499
Hg 0.000 -1.637 3.127
Hg 0.000 1.637 3.127
Hg 0.000 0.000 6.432
Hg 2.621 0.000 2.306
Hg 2.621 -1.567 5.308
Hg 2.621 1.567 5.308
```